Al2Si2H4O9: calculated X-ray diffraction stick pattern (Cu Ka), based on a crystal structure in the Materials Project, relaxed with GGA-PBE.
Intensities are scaled so that the largest is 100.

The 8 most intense peaks (15 to 90 degrees two-theta), by angle:
2theta, Rel. int., h k l
19.7, 46, 1 1 0
20.1, 52, 1 1 -1
20.5, 40, 0 2 1
21.2, 91, 1 1 1
23.2, 66, 0 2 2
24.6, 100, 0 0 4
38.2, 38, 2 0 2
38.3, 84, 1 3 -3

```
data_Al2Si2H4O9
_chemical_formula_sum 'Al8 Si8 H16 O36'
_space_group_name_H-M_alt 'C 1 c 1'
_space_group_IT_number 9
_cell_length_a 5.215
_cell_length_b 9.057
_cell_length_c 14.590
_cell_angle_alpha 90.00
_cell_angle_beta 96.42
_cell_angle_gamma 90.00
loop_
_space_group_symop_operation_xyz
'x,y,z'
'x,-y,z+1/2'
'x+1/2,y+1/2,z'
'x+1/2,-y+1/2,z+1/2'
loop_
_atom_site_label
_atom_site_fract_x
_atom_site_fract_y
_atom_site_fract_z
Al1 0.000 0.081 0.000
Al2 0.006 0.255 0.498
Si1 0.407 0.099 0.190
Si2 0.420 0.427 0.190
H1 0.112 0.448 0.377
H2 0.124 0.241 0.871
H3 0.138 0.083 0.373
H4 0.427 0.183 0.575
O1 0.094 0.086 0.436
O2 0.154 0.494 0.224
O3 0.162 0.028 0.238
O4 0.176 0.394 0.433
O5 0.177 0.219 0.935
O6 0.334 0.277 0.573
O7 0.341 0.109 0.079
O8 0.415 0.418 0.079
O9 0.460 0.262 0.237
```